Pr3ZnSe2: calculated powder diffractogram (a wavelength of 1.5418 Å), based on a cell relaxed with PBE.
Lines closer than 0.1° are merged.

Peak list (10 most intense, 2θ = 15–90°, sorted by position)
(1 0 2), 2θ = 25.34°, rel. 8
(1 3 0), 2θ = 25.54°, rel. 8
(2 0 0), 2θ = 29.46°, rel. 100
(0 0 4), 2θ = 41.92°, rel. 13
(2 3 2), 2θ = 42.13°, rel. 50
(0 6 0), 2θ = 42.42°, rel. 12
(2 0 4), 2θ = 52.04°, rel. 13
(2 6 0), 2θ = 52.46°, rel. 13
(4 3 2), 2θ = 69.29°, rel. 17
(4 0 -4), 2θ = 76.72°, rel. 10

Atomic structure:
```
Pr3ZnSe2
1.0
6.071 0.000 0.000
0.000 12.786 0.000
-0.013 0.000 8.621
Pr Zn Se
12 4 8
Cartesian
1.508 1.069 1.103
1.501 5.324 5.414
1.508 1.105 5.367
1.514 5.288 1.056
1.525 9.595 1.091
1.519 9.584 5.401
4.540 3.202 3.219
4.533 3.191 7.530
4.544 7.498 7.564
4.550 11.681 3.254
4.557 7.462 3.207
4.551 11.717 7.517
1.523 7.485 3.228
1.517 11.694 7.538
4.542 1.092 1.082
4.535 5.301 5.393
1.504 3.197 3.228
1.498 3.196 7.539
1.509 7.464 7.567
1.515 11.715 3.257
4.543 1.071 5.364
4.550 5.322 1.053
4.561 9.590 1.082
4.554 9.589 5.392
```



AcEuHoCd: calculated powder diffractogram (a wavelength of 1.5418 Å), based on a cell relaxed with PBE.
Lines closer than 0.1° are merged.

Peak list (10 most intense, 2θ = 15–90°, sorted by position)
(1 1 1), 2θ = 18.93°, rel. 6
(2 2 0), 2θ = 31.15°, rel. 100
(3 1 1), 2θ = 36.71°, rel. 3
(4 0 0), 2θ = 44.64°, rel. 19
(3 3 1), 2θ = 48.89°, rel. 2
(4 2 2), 2θ = 55.43°, rel. 39
(4 4 0), 2θ = 64.97°, rel. 12
(5 3 1), 2θ = 68.34°, rel. 1
(6 2 0), 2θ = 73.80°, rel. 17
(4 4 4), 2θ = 82.26°, rel. 4

Atomic structure:
```
AcEuHoCd
1.0
8.120 0.000 0.000
0.000 8.120 0.000
0.000 0.000 8.120
Ac Eu Ho Cd
4 4 4 4
Cartesian
0.000 0.000 0.000
0.000 4.060 4.060
4.060 0.000 4.060
4.060 4.060 0.000
2.030 2.030 2.030
2.030 6.090 6.090
6.090 2.030 6.090
6.090 6.090 2.030
2.030 2.030 6.090
2.030 6.090 2.030
6.090 2.030 2.030
6.090 6.090 6.090
0.000 0.000 4.060
0.000 4.060 0.000
4.060 0.000 0.000
4.060 4.060 4.060
```



Pu2Ti15Al2: calculated powder diffractogram (a wavelength of 1.5418 Å), based on a cell relaxed with PBE.
Lines closer than 0.1° are merged.

Peak list (10 most intense, 2θ = 15–90°, sorted by position)
(1 1 0), 2θ = 16.91°, rel. 60
(1 0 1), 2θ = 17.03°, rel. 86
(1 -1 0), 2θ = 20.28°, rel. 44
(0 2 0), 2θ = 26.52°, rel. 54
(2 1 1), 2θ = 27.88°, rel. 77
(1 -2 0), 2θ = 31.82°, rel. 42
(2 2 2), 2θ = 38.28°, rel. 68
(2 2 -1), 2θ = 39.30°, rel. 50
(2 0 -2), 2θ = 39.78°, rel. 63
(0 3 0), 2θ = 40.25°, rel. 100

Atomic structure:
```
Pu2Ti15Al2
1.0
6.928 0.000 0.000
1.393 6.787 0.000
1.192 0.970 6.955
Pu Ti Al
2 15 2
Cartesian
0.000 0.000 0.000
1.546 1.255 4.672
1.869 5.344 5.380
0.591 2.290 0.716
1.602 4.802 1.206
1.648 3.228 3.290
2.360 0.120 0.717
3.764 3.070 5.461
3.873 5.002 3.141
4.726 5.734 5.786
3.497 0.965 3.290
5.669 4.625 0.814
5.677 2.791 3.140
5.610 0.756 5.382
5.026 0.605 1.205
6.568 3.475 5.786
8.701 7.100 2.920
3.519 2.871 1.090
6.600 5.383 3.515
```